Simulated powder diffractogram of V3TcPt4 for CuKα, from a crystal structure in Alexandria, relaxed with GGA-PBE.
Kinematic intensities with the Lorentz-polarization factor, no thermal factor.

Structural model:
Unit cell a=6.3652 b=6.3652 c=4.7317 alpha=108.03 beta=108.03 gamma=40.82
Atoms (fractional coordinates):
V1 0.0000 0.0000 0.0000
V2 0.1269 0.1269 0.7031
V3 0.8731 0.8731 0.2969
Tc1 0.5000 0.5000 0.5000
Pt1 0.2486 0.2486 0.3239
Pt2 0.3743 0.3743 0.9276
Pt3 0.6257 0.6257 0.0724
Pt4 0.7514 0.7514 0.6761

The 10 most intense peaks (2θ = 15–90°), in order of rising 2θ:
d = 5.631 Å, 2θ = 15.7°, rel. 234
d = 4.130 Å, 2θ = 21.5°, rel. 255
d = 2.865 Å, 2θ = 31.2°, rel. 153
d = 2.843 Å, 2θ = 31.5°, rel. 251
d = 2.360 Å, 2θ = 38.1°, rel. 270
d = 2.220 Å, 2θ = 40.6°, rel. 435
d = 2.176 Å, 2θ = 41.5°, rel. 713
d = 2.074 Å, 2θ = 43.6°, rel. 1000
d = 1.617 Å, 2θ = 56.9°, rel. 167
d = 1.252 Å, 2θ = 76.0°, rel. 195

Simulated powder diffractogram of ReW3S for CuKα, from a crystal structure in Alexandria, relaxed with GGA-PBE.
Kinematic intensities with the Lorentz-polarization factor, no thermal factor.

Structural model:
Unit cell a=4.3685 b=4.3685 c=4.3685 alpha=90.00 beta=90.00 gamma=90.00
Atoms (fractional coordinates):
Re1 0.0000 0.0000 0.0000
W1 0.0000 0.5000 0.5000
W2 0.5000 0.0000 0.5000
W3 0.5000 0.5000 0.0000
S1 0.5000 0.5000 0.5000

The 8 most intense peaks (2θ = 15–90°), in order of rising 2θ:
d = 4.368 Å, 2θ = 20.3°, rel. 7
d = 3.089 Å, 2θ = 28.9°, rel. 7
d = 2.522 Å, 2θ = 35.6°, rel. 1000
d = 2.184 Å, 2θ = 41.3°, rel. 596
d = 1.544 Å, 2θ = 59.9°, rel. 403
d = 1.317 Å, 2θ = 71.6°, rel. 403
d = 1.261 Å, 2θ = 75.4°, rel. 138
d = 1.092 Å, 2θ = 89.8°, rel. 70